Diffraction record for MoAuO2. The PXRD pattern is calculated, not measured: it uses a cell relaxed with GGA+U and copper Kα.

Atomic structure:
Unit cell a=5.756 b=5.756 c=9.005 alpha=90.00 beta=90.00 gamma=90.00
Fractional coordinates of all 16 atoms:
Mo: 0.000 0.000 0.000
Mo: 0.000 0.500 0.250
Mo: 0.500 0.000 0.750
Mo: 0.500 0.500 0.500
Au: 0.000 0.000 0.500
Au: 0.000 0.500 0.750
Au: 0.500 0.000 0.250
Au: 0.500 0.500 0.000
O: 0.112 0.250 0.125
O: 0.250 0.612 0.375
O: 0.250 0.888 0.875
O: 0.388 0.250 0.625
O: 0.612 0.750 0.625
O: 0.750 0.112 0.875
O: 0.750 0.388 0.375
O: 0.888 0.750 0.125

The 12 most intense peaks (10 to 90 degrees two-theta), sorted by position:
d/Å	2theta	intensity	h k l
4.850	18.3	10.1	1 0 1
3.019	29.6	100.0	1 1 2
2.878	31.1	39.6	2 0 0
2.475	36.3	9.6	2 1 1
2.035	44.5	15.8	2 2 0
1.773	51.5	22.9	2 0 4
1.687	54.4	36.1	3 1 2
1.510	61.4	12.9	2 2 4
1.408	66.4	11.5	1 1 6
1.158	83.5	10.9	3 1 6
1.117	87.3	9.2	4 2 4
1.095	89.5	9.6	5 1 2